The following is a simulated powder diffraction line list of NaNpSeS. It was derived from a PBE-relaxed structure, using copper Kα.

Structural model:
```
data_NaNpSeS
_cell_length_a 4.0582
_cell_length_b 4.0582
_cell_length_c 21.3887
_cell_angle_alpha 90.00
_cell_angle_beta 90.00
_cell_angle_gamma 120.00
_space_group_name_H-M_alt 'R 3 m'
_space_group_IT_number 160
_space_group_name_Hall 'R 3 -2"'
loop_
_atom_site_label
_atom_site_type_symbol
_atom_site_fract_x
_atom_site_fract_y
_atom_site_fract_z
Na1 Na 0.0000 0.0000 0.0000
Np1 Np 0.0000 0.0000 0.1665
Se1 Se 0.0000 0.0000 0.5792
S1 S 0.0000 0.0000 0.7644
```

Most intense lines, 5 to 70 degrees two-theta, by intensity:
d/Å  two_theta  I_rel
7.130  12.42  100
3.339  26.70  77
2.716  32.98  75
2.306  39.06  39
2.029  44.66  35
1.952  46.53  24

***

The following is a simulated powder diffraction line list of NaTm2NpS4. It was derived from a PBE-relaxed structure, using copper Kα.

Structural model:
```
data_NaTm2NpS4
_cell_length_a 6.7799
_cell_length_b 3.8784
_cell_length_c 6.8041
_cell_angle_alpha 90.00
_cell_angle_beta 109.26
_cell_angle_gamma 90.00
_space_group_name_H-M_alt 'P 1 2/m 1'
_space_group_IT_number 10
_space_group_name_Hall '-P 2y'
loop_
_atom_site_label
_atom_site_type_symbol
_atom_site_fract_x
_atom_site_fract_y
_atom_site_fract_z
Na1 Na 0.0000 0.0000 0.0000
Tm1 Tm 0.0000 0.5000 0.5000
Tm2 Tm 0.5000 0.0000 0.5000
Np1 Np 0.5000 0.5000 0.0000
S1 S 0.2479 0.0000 0.7419
S2 S 0.2549 0.5000 0.2626
```

Most intense lines, 5 to 70 degrees two-theta, by intensity:
d/Å  two_theta  I_rel
2.764  32.39  100
3.177  28.09  38
1.958  46.38  24
1.953  46.51  24
6.404  13.83  24
3.212  27.78  19